AcPrNd2Tm4: calculated X-ray powder pattern (a wavelength of 1.5418 Å), based on a PBE-relaxed structure.
Kinematic intensities with the Lorentz-polarization factor, no thermal factor.

Top 10 peaks for 15° ≤ 2θ ≤ 90°, by angle:
two_theta  d (Å)  intensity
26.50  3.364  68
29.78  3.000  51
29.89  2.990  100
40.28  2.239  45
40.36  2.235  88
52.92  1.730  20
60.14  1.539  28
60.32  1.534  13
63.44  1.466  34
68.71  1.366  18

Crystal structure
abc: 9.652 9.652 9.652
angles: 138.14 103.12 91.62
Positions (direct):
Ac: 0.000 0.000 0.000
Ac: 0.500 0.000 0.500
Pr: 0.500 0.000 0.000
Pr: 0.500 0.500 0.500
Nd: 0.000 0.000 0.500
Nd: 0.000 0.500 0.000
Nd: 0.000 0.500 0.500
Nd: 0.500 0.500 0.000
Tm: 0.241 0.742 0.499
Tm: 0.249 0.261 0.512
Tm: 0.249 0.737 0.988
Tm: 0.257 0.258 0.999
Tm: 0.743 0.742 0.001
Tm: 0.751 0.263 0.012
Tm: 0.751 0.739 0.488
Tm: 0.759 0.258 0.501